1.
Starting from the GGA-PBE geometry in the Materials Project, the powder X-ray diffraction pattern of Mg6TiC was computed for Cu Kα X-rays.

The 6 most intense peaks (10 to 90 degrees two-theta), most intense first:
two_theta	d [Å]	I/Imax	index
40.5	2.226	100	1 2 2
35.7	2.512	92	1 0 4
35.0	2.565	44	0 2 2
40.3	2.238	43	2 0 0
54.4	1.686	23	2 2 2
26.4	3.373	23	1 1 1

Cell and atoms:
Unit cell a=4.476 b=5.661 c=12.143 alpha=90.00 beta=90.00 gamma=90.00
Space group Amm2 (No. 38)
One atom of each set of equivalent atoms:
Mg 0.000 0.000 0.000 (multiplicity 2)
Mg 0.000 0.000 0.475 (multiplicity 2)
Mg 0.000 0.241 0.257 (multiplicity 4)
Mg 0.500 0.246 0.111 (multiplicity 4)
Ti 0.500 0.000 0.854 (multiplicity 2)
C 0.500 0.000 0.265 (multiplicity 2)



2.
Starting from the GGA-PBE geometry in the Materials Project, the powder X-ray diffraction pattern of NbSeBr was computed for Cu Kα X-rays.

The 6 most intense peaks (10 to 90 degrees two-theta), most intense first:
two_theta	d [Å]	I/Imax	index
34.0	2.640	100	4 0 0
48.8	1.867	61	4 4 0
14.5	6.097	49	1 1 1
41.9	2.156	25	4 2 2
29.3	3.048	20	2 2 2
28.0	3.184	19	3 1 1

Cell and atoms:
Unit cell a=10.560 b=10.560 c=10.560 alpha=90.00 beta=90.00 gamma=90.00
Space group F-43m (No. 216)
One atom of each set of equivalent atoms:
Nb 0.102 0.102 0.398 (multiplicity 16)
Se 0.135 0.135 0.635 (multiplicity 16)
Br 0.131 0.131 0.131 (multiplicity 16)



3.
Starting from the GGA-PBE geometry in the Materials Project, the powder X-ray diffraction pattern of CsZrCuSe3 was computed for Cu Kα X-rays.

The 6 most intense peaks (10 to 90 degrees two-theta), most intense first:
two_theta	d [Å]	I/Imax	index
29.3	3.049	100	1 3 1
52.9	1.730	63	1 3 5
27.9	3.193	49	0 4 2
39.9	2.258	45	1 5 2
10.9	8.149	41	0 2 0
34.9	2.572	33	0 0 4

Cell and atoms:
Unit cell a=3.946 b=16.299 c=10.286 alpha=90.00 beta=90.00 gamma=90.00
Space group Cmcm (No. 63)
One atom of each set of equivalent atoms:
Cs 0.000 0.246 0.250 (multiplicity 4)
Zr 0.000 0.500 0.000 (multiplicity 4)
Cu 0.000 0.031 0.750 (multiplicity 4)
Se 0.000 0.112 0.552 (multiplicity 8)
Se 0.000 0.440 0.750 (multiplicity 4)